No. 1
Calculated powder diffractogram of TmMgAlZn6 for Cu Ka, from DFT lattice parameters and positions (GGA-PBE).
Peak positions follow from Bragg's law for the DFT cell and can differ from measured ones.

Atomic structure:
```
TmMgAlZn6
1.0
-3.4430 4.6094 5.4722
3.4430 -4.6094 5.4722
3.4430 4.6094 -5.4722
Tm Mg Al Zn
2 2 2 12
Cartesian
0.0000 2.3047 2.2236
3.4430 2.3047 3.2485
1.7215 2.3047 -2.7361
1.7215 -2.3047 2.7361
0.0000 0.0000 0.0000
0.0000 4.6094 0.0000
2.1677 0.2794 1.4077
4.7183 0.2794 1.4077
3.4430 -2.3047 4.7511
3.4430 2.3047 -0.1275
2.1677 4.8888 -1.4077
1.2753 0.2794 4.0645
2.1677 4.3300 1.4077
1.2753 -0.2794 6.8798
0.0000 2.3047 5.5997
0.0000 6.9141 0.7210
-1.2753 4.3300 4.0645
1.2753 4.3300 4.0645
```

Most intense lines, 2θ from 15° to 90°, low angle first:
| two_theta | Rel. int. |
| --- | --- |
| 28.9 | 22 |
| 32.5 | 100 |
| 33.9 | 73 |
| 36.7 | 31 |
| 37.2 | 41 |
| 38.3 | 73 |
| 39.1 | 50 |
| 40.2 | 49 |
| 42.2 | 26 |
| 46.8 | 35 |
| 62.5 | 29 |
| 76.6 | 21 |

***

No. 2
Calculated powder diffractogram of TmTlCdCl6 for Cu Ka, from DFT lattice parameters and positions (GGA-PBE).
Peak positions follow from Bragg's law for the DFT cell and can differ from measured ones.

Atomic structure:
```
TmTlCdCl6
1.0
6.9096 0.0000 0.0000
-3.4548 5.9838 0.0000
0.0000 0.0000 14.0394
Tm Tl Cd Cl
2 2 2 12
Cartesian
0.0000 3.9892 3.5099
3.4548 1.9946 10.5296
0.0000 0.0000 0.0000
0.0000 0.0000 7.0197
0.0000 3.9892 10.5296
3.4548 1.9946 3.5099
-1.2629 2.2531 2.0034
-2.1350 3.7636 5.0163
1.2629 2.2531 5.0163
-0.8721 5.9510 2.0034
2.5827 0.0329 9.0231
1.3198 2.2202 12.0360
2.1350 3.7636 2.0034
0.8721 5.9510 5.0163
4.3269 0.0329 12.0360
2.1919 3.7307 9.0231
5.5897 2.2202 9.0231
4.7176 3.7307 12.0360
```

Most intense lines, 2θ from 15° to 90°, low angle first:
| two_theta | Rel. int. |
| --- | --- |
| 19.5 | 100 |
| 25.8 | 30 |
| 28.8 | 11 |
| 32.5 | 25 |
| 36.5 | 57 |
| 41.4 | 13 |
| 42.0 | 28 |
| 45.5 | 19 |
| 56.6 | 12 |
| 57.0 | 13 |
| 59.7 | 12 |
| 78.1 | 11 |

***

No. 3
Calculated powder diffractogram of La4Zr for Cu Ka, from DFT lattice parameters and positions (GGA-PBE).
Peak positions follow from Bragg's law for the DFT cell and can differ from measured ones.

Atomic structure:
```
La4Zr
1.0
8.0465 0.0000 0.0000
0.0000 8.0465 0.0000
0.0000 0.0000 5.0614
La Zr
8 2
Cartesian
0.8336 2.3352 0.0000
1.6880 4.8569 2.5307
2.3352 7.2129 0.0000
3.1897 1.6880 2.5307
4.8569 6.3585 2.5307
5.7113 0.8336 0.0000
6.3585 3.1897 2.5307
7.2129 5.7113 0.0000
0.0000 0.0000 2.5307
4.0233 4.0233 0.0000
```

Most intense lines, 2θ from 15° to 90°, low angle first:
| two_theta | Rel. int. |
| --- | --- |
| 30.5 | 100 |
| 35.3 | 34 |
| 35.5 | 17 |
| 50.7 | 12 |
| 50.9 | 24 |
| 60.4 | 27 |
| 60.6 | 14 |
| 63.4 | 12 |
| 82.7 | 6 |
| 82.9 | 11 |
| 85.4 | 5 |
| 85.8 | 5 |

***

No. 4
Calculated powder diffractogram of BaLa2SmHg4 for Cu Ka, from DFT lattice parameters and positions (GGA-PBE).
Peak positions follow from Bragg's law for the DFT cell and can differ from measured ones.

Atomic structure:
```
BaLa2SmHg4
1.0
2.7782 1.6040 9.2282
-2.7782 1.6040 9.2282
0.0000 -3.2080 9.2282
Ba La Sm Hg
1 2 1 4
Cartesian
0.0000 0.0000 0.0000
0.0000 0.0000 6.8820
0.0000 0.0000 20.8027
0.0000 0.0000 13.8423
0.0000 0.0000 3.5949
0.0000 0.0000 10.6173
0.0000 0.0000 17.0674
0.0000 0.0000 24.0898
```

Most intense lines, 2θ from 15° to 90°, low angle first:
| two_theta | Rel. int. |
| --- | --- |
| 22.5 | 7 |
| 31.9 | 96 |
| 32.2 | 100 |
| 45.9 | 35 |
| 56.5 | 15 |
| 57.2 | 37 |
| 57.5 | 20 |
| 66.6 | 9 |
| 67.4 | 12 |
| 75.9 | 13 |
| 76.5 | 17 |
| 85.4 | 8 |

***

No. 5
Calculated powder diffractogram of Ce2Mn17C2 for Cu Ka, from DFT lattice parameters and positions (GGA-PBE).
Peak positions follow from Bragg's law for the DFT cell and can differ from measured ones.

Atomic structure:
```
Ce2Mn17C2
1.0
4.7687 -4.3281 0.0000
4.7687 4.3281 0.0000
-0.9445 0.0000 6.3650
Ce Mn C
2 17 2
Cartesian
1.0553 0.0000 2.1993
7.5376 0.0000 4.1657
2.3843 2.1640 0.0000
0.5964 0.0000 5.5528
3.5038 2.0558 2.1529
2.7171 1.1898 4.5860
4.7687 2.3390 0.0000
5.0891 2.0558 4.2122
3.7721 0.0000 0.6157
2.7171 -1.1898 4.5860
2.3843 -2.1640 0.0000
4.2964 0.0000 3.1825
5.8758 1.1898 1.7790
4.8208 0.0000 5.7493
3.5038 -2.0558 2.1529
4.7687 -2.3390 0.0000
5.8758 -1.1898 1.7790
5.0891 -2.0558 4.2122
7.9965 0.0000 0.8123
1.9121 2.1640 3.1825
1.9121 -2.1640 3.1825
```

Most intense lines, 2θ from 15° to 90°, low angle first:
| two_theta | Rel. int. |
| --- | --- |
| 30.1 | 43 |
| 31.5 | 25 |
| 36.0 | 41 |
| 37.9 | 45 |
| 41.7 | 45 |
| 42.1 | 84 |
| 42.5 | 100 |
| 42.6 | 29 |
| 42.8 | 25 |
| 44.3 | 49 |
| 62.3 | 27 |
| 62.5 | 27 |

***

No. 6
Calculated powder diffractogram of PmHo2TcN4 for Cu Ka, from DFT lattice parameters and positions (GGA-PBE).
Peak positions follow from Bragg's law for the DFT cell and can differ from measured ones.

Atomic structure:
```
PmHo2TcN4
1.0
1.7221 -5.8270 0.0000
1.7221 5.8270 0.0000
0.0000 0.0000 11.5571
Pm Ho Tc N
2 4 2 8
Cartesian
1.7221 4.3745 8.6678
1.7221 -4.3745 2.8893
1.7221 1.5305 6.2385
1.7221 1.5305 11.0971
1.7221 -1.5305 0.4600
1.7221 -1.5305 5.3185
1.7221 4.2008 2.8893
1.7221 -4.2008 8.6678
0.0000 0.0000 0.0000
0.0000 0.0000 5.7785
1.7221 2.7566 1.4733
1.7221 2.7566 4.3052
1.7221 0.6708 8.6678
1.7221 -0.6708 2.8893
1.7221 -2.7566 7.2519
1.7221 -2.7566 10.0837
```

Most intense lines, 2θ from 15° to 90°, low angle first:
| two_theta | Rel. int. |
| --- | --- |
| 27.8 | 39 |
| 30.7 | 63 |
| 31.0 | 41 |
| 31.2 | 100 |
| 38.2 | 97 |
| 42.1 | 15 |
| 44.1 | 31 |
| 48.0 | 21 |
| 49.8 | 22 |
| 53.2 | 30 |
| 62.7 | 24 |
| 64.2 | 23 |

***

No. 7
Calculated powder diffractogram of Ba5CeHg6 for Cu Ka, from DFT lattice parameters and positions (GGA-PBE).
Peak positions follow from Bragg's law for the DFT cell and can differ from measured ones.

Atomic structure:
```
Ba5CeHg6
1.0
5.8250 0.0000 0.0000
0.0005 8.3238 0.0000
2.8832 -0.0001 8.8138
Ba Ce Hg
5 1 6
Cartesian
0.0000 0.0000 0.0000
2.9017 4.1619 2.9714
2.9011 0.0008 2.9576
5.8076 8.3230 5.8562
5.8070 4.1618 5.8424
0.0002 4.1619 0.0000
2.8944 2.1789 6.0626
2.8945 6.1443 6.0596
5.7955 2.3079 8.8084
2.9131 6.0158 0.0054
5.8141 2.1794 2.7542
5.8142 6.1448 2.7512
```

Most intense lines, 2θ from 15° to 90°, low angle first:
| two_theta | Rel. int. |
| --- | --- |
| 30.5 | 100 |
| 30.7 | 21 |
| 43.5 | 7 |
| 43.7 | 7 |
| 43.8 | 7 |
| 54.0 | 14 |
| 54.2 | 14 |
| 54.4 | 12 |
| 63.3 | 6 |
| 71.8 | 5 |
| 72.3 | 5 |
| 87.9 | 5 |

***

No. 8
Calculated powder diffractogram of PrPuNO for Cu Ka, from DFT lattice parameters and positions (GGA-PBE).
Peak positions follow from Bragg's law for the DFT cell and can differ from measured ones.

Atomic structure:
```
PrPuNO
1.0
3.5383 0.0000 0.0000
0.0000 3.5383 0.0000
0.0000 0.0000 5.1239
Pr Pu N O
1 1 1 1
Cartesian
0.0000 0.0000 0.0000
1.7691 1.7691 2.5620
0.0000 0.0000 2.5620
1.7691 1.7691 0.0000
```

Most intense lines, 2θ from 15° to 90°, low angle first:
| two_theta | Rel. int. |
| --- | --- |
| 30.7 | 100 |
| 35.0 | 25 |
| 35.9 | 46 |
| 51.0 | 34 |
| 51.7 | 16 |
| 60.2 | 16 |
| 61.3 | 30 |
| 64.0 | 17 |
| 83.2 | 13 |
| 85.1 | 8 |
| 86.6 | 8 |
| 87.1 | 7 |